1.
Starting from a cell relaxed with GGA-PBE, the PXRD pattern of LiDy6Au5 was calculated for a wavelength of 1.5418 Å.

The 10 most intense peaks (2θ = 15–90°), by angle:
2θ (°), d/Å, Rel. int.
34.84, 2.575, 24
35.19, 2.550, 100
35.63, 2.520, 25
50.54, 1.806, 9
50.68, 1.801, 16
62.69, 1.482, 15
62.85, 1.479, 9
63.36, 1.468, 9
63.71, 1.461, 18
74.39, 1.275, 11

Crystal structure
Lattice parameters (Å, degrees): 5.040 7.223 15.452 90.00 90.00 90.00
Space group Immm (No. 71)
Symmetry-distinct sites (fractional):
Li 0.000 0.000 0.000 (multiplicity 2)
Dy 0.000 0.240 0.500 (multiplicity 4)
Dy 0.000 0.252 0.170 (multiplicity 8)
Au 0.000 0.000 0.329 (multiplicity 4)
Au 0.000 0.500 0.000 (multiplicity 2)
Au 0.000 0.500 0.353 (multiplicity 4)



2.
Starting from a cell relaxed with GGA-PBE, the PXRD pattern of LiDy2Au3 was calculated for a wavelength of 1.5418 Å.

The 10 most intense peaks (2θ = 15–90°), by angle:
2θ (°), d/Å, Rel. int.
25.45, 3.499, 21
36.03, 2.493, 100
36.58, 2.456, 88
52.29, 1.750, 32
64.78, 1.439, 18
65.14, 1.432, 33
66.21, 1.411, 16
76.42, 1.246, 12
87.83, 1.111, 16
88.81, 1.102, 15

Crystal structure
Lattice parameters (Å, degrees): 4.9853 4.9853 11.9480 90.00 90.00 120.00
Space group P-3m1 (No. 164)
Symmetry-distinct sites (fractional):
Li 0.3333 0.6667 0.1691 (multiplicity 2)
Dy 0.0000 0.0000 0.0000 (multiplicity 1)
Dy 0.0000 0.0000 0.5000 (multiplicity 1)
Dy 0.3333 0.6667 0.6854 (multiplicity 2)
Au 0.0000 0.0000 0.2504 (multiplicity 2)
Au 0.3333 0.6667 0.4216 (multiplicity 2)
Au 0.3333 0.6667 0.9358 (multiplicity 2)



3.
Starting from a cell relaxed with GGA-PBE, the PXRD pattern of Li3DyAu4 was calculated for a wavelength of 1.5418 Å.

The 10 most intense peaks (2θ = 15–90°), by angle:
2θ (°), d/Å, Rel. int.
18.81, 4.718, 15
26.72, 3.336, 51
32.88, 2.724, 8
38.15, 2.359, 100
47.19, 1.926, 15
55.06, 1.668, 17
62.23, 1.492, 20
68.96, 1.362, 36
81.64, 1.179, 12
87.79, 1.112, 11

Crystal structure
Lattice parameters (Å, degrees): 6.672 6.672 6.672 90.00 90.00 90.00
Space group Im-3m (No. 229)
Symmetry-distinct sites (fractional):
Li 0.000 0.000 0.500 (multiplicity 6)
Dy 0.000 0.000 0.000 (multiplicity 2)
Au 0.250 0.250 0.250 (multiplicity 8)